Simulated powder diffraction line list of Ac3NdPb12 for Cu Kα (λ = 1.5418 Å), from a GGA-PBE-relaxed structure.
Intensities are scaled so that the largest is 100.

Crystal structure
```
16
Lattice="5.052 0.000 0.000 0.000 5.052 0.000 0.000 0.000 19.965" Properties=species:S:1:pos:R:3 pbc="T T T"
Ac 0.000 0.000 0.000
Ac 0.000 0.000 5.077
Ac 0.000 0.000 14.888
Nd 0.000 0.000 9.983
Pb 0.000 2.526 2.539
Pb 0.000 2.526 7.604
Pb 0.000 2.526 12.361
Pb 0.000 2.526 17.426
Pb 2.526 0.000 2.539
Pb 2.526 0.000 7.604
Pb 2.526 0.000 12.361
Pb 2.526 0.000 17.426
Pb 2.526 2.526 0.000
Pb 2.526 2.526 5.060
Pb 2.526 2.526 9.983
Pb 2.526 2.526 14.905
```

Most intense lines, 10 to 90 degrees two-theta, in order of rising 2θ:
- 2θ = 30.78°, intensity 100.0
- 2θ = 35.54°, intensity 34.7
- 2θ = 35.99°, intensity 16.2
- 2θ = 51.14°, intensity 12.6
- 2θ = 51.48°, intensity 23.9
- 2θ = 60.89°, intensity 29.9
- 2θ = 61.48°, intensity 13.6
- 2θ = 64.12°, intensity 12.5
- 2θ = 83.46°, intensity 6.4
- 2θ = 83.98°, intensity 11.9
- 2θ = 86.07°, intensity 6.1
- 2θ = 86.34°, intensity 5.9

---

Simulated powder diffraction line list of BaMg9Al2 for Cu Kα (λ = 1.5418 Å), from a GGA-PBE-relaxed structure.
Intensities are scaled so that the largest is 100.

Crystal structure
```
24
Lattice="-6.107 6.107 3.954 6.107 -6.107 3.954 6.107 6.107 -3.954" Properties=species:S:1:pos:R:3 pbc="T T T"
Ba 6.107 3.053 0.988
Ba 0.000 3.053 2.965
Mg 6.107 -3.053 2.965
Mg 4.599 -0.596 1.473
Mg 7.614 -0.596 1.473
Mg 2.457 1.546 0.504
Mg 9.756 1.546 0.504
Mg 4.599 5.511 -1.473
Mg 1.507 -0.596 2.481
Mg 2.457 4.561 0.504
Mg 3.649 -1.546 4.458
Mg 2.457 7.653 -0.504
Mg 3.649 1.546 3.450
Mg 4.599 6.703 1.473
Mg 1.507 0.596 5.426
Mg -3.649 4.561 3.450
Mg 3.649 4.561 3.450
Mg -1.507 6.703 2.481
Mg 1.507 6.703 2.481
Mg 0.000 9.160 0.988
Al 0.000 0.000 0.000
Al 3.053 3.053 -1.977
Al 3.053 -3.053 1.977
Al 0.000 6.107 0.000
```

Most intense lines, 10 to 90 degrees two-theta, in order of rising 2θ:
- 2θ = 13.34°, intensity 17.7
- 2θ = 14.50°, intensity 19.4
- 2θ = 19.75°, intensity 44.9
- 2θ = 24.59°, intensity 20.0
- 2θ = 24.77°, intensity 33.9
- 2θ = 28.67°, intensity 47.6
- 2θ = 32.41°, intensity 100.0
- 2θ = 32.79°, intensity 61.7
- 2θ = 34.82°, intensity 29.4
- 2θ = 41.42°, intensity 16.8
- 2θ = 49.19°, intensity 29.2
- 2θ = 58.30°, intensity 27.5

---

Simulated powder diffraction line list of Dy6Pt5Rh for Cu Kα (λ = 1.5418 Å), from a GGA-PBE-relaxed structure.
Intensities are scaled so that the largest is 100.

Crystal structure
```
12
Lattice="-2.459 3.486 7.392 2.459 -3.486 7.392 2.459 3.486 -7.392" Properties=species:S:1:pos:R:3 pbc="T T T"
Dy 2.459 1.739 -2.453
Dy 0.000 1.737 0.000
Dy 2.459 1.739 2.453
Dy 0.000 1.747 4.939
Dy 0.000 5.234 0.000
Dy 0.000 1.747 9.844
Pt 0.000 0.000 2.405
Pt 2.459 0.000 4.895
Pt 0.000 0.000 7.392
Pt 0.000 3.486 2.496
Pt 0.000 0.000 12.378
Rh 2.459 0.000 0.000
```

Most intense lines, 10 to 90 degrees two-theta, in order of rising 2θ:
- 2θ = 25.22°, intensity 0.5
- 2θ = 36.49°, intensity 100.0
- 2θ = 52.56°, intensity 17.7
- 2θ = 65.64°, intensity 24.2
- 2θ = 65.74°, intensity 12.1
- 2θ = 77.50°, intensity 9.4
- 2θ = 77.66°, intensity 1.9
- 2θ = 88.80°, intensity 8.4
- 2θ = 88.92°, intensity 8.3

---

Simulated powder diffraction line list of Ac2NpBRh6 for Cu Kα (λ = 1.5418 Å), from a GGA-PBE-relaxed structure.
Intensities are scaled so that the largest is 100.

Crystal structure
```
10
Lattice="6.122 0.000 0.000 -3.061 5.302 0.000 0.000 0.000 5.861" Properties=species:S:1:pos:R:3 pbc="T T T"
Ac 0.000 3.535 1.136
Ac 3.061 1.767 4.725
Np 0.000 0.000 0.000
B 0.000 0.000 2.930
Rh 0.000 1.886 4.030
Rh -1.428 4.359 4.030
Rh 1.633 0.943 1.831
Rh 1.428 4.359 4.030
Rh 4.489 0.943 1.831
Rh 3.061 3.416 1.831
```

Most intense lines, 10 to 90 degrees two-theta, in order of rising 2θ:
- 2θ = 22.61°, intensity 17.3
- 2θ = 29.17°, intensity 26.7
- 2θ = 33.01°, intensity 35.1
- 2θ = 34.99°, intensity 43.4
- 2θ = 37.23°, intensity 100.0
- 2θ = 46.18°, intensity 27.9
- 2θ = 49.74°, intensity 12.8
- 2θ = 55.56°, intensity 14.5
- 2θ = 60.49°, intensity 24.8
- 2θ = 66.89°, intensity 17.7
- 2θ = 71.83°, intensity 10.7
- 2θ = 73.21°, intensity 13.0

---

Simulated powder diffraction line list of AgHg4O5 for Cu Kα (λ = 1.5418 Å), from a GGA-PBE-relaxed structure.
Intensities are scaled so that the largest is 100.

Crystal structure
```
10
Lattice="-3.774 3.774 2.689 3.774 -3.774 2.689 3.774 3.774 -2.689" Properties=species:S:1:pos:R:3 pbc="T T T"
Ag 0.000 0.000 0.000
Hg 3.113 1.575 0.000
Hg 2.199 -0.662 2.689
Hg 1.575 4.436 0.000
Hg 0.662 2.199 2.689
O 5.415 0.370 0.000
O 0.370 2.134 0.000
O 0.000 0.000 2.689
O 3.404 1.640 2.689
O -1.640 3.404 2.689
```

Most intense lines, 10 to 90 degrees two-theta, in order of rising 2θ:
- 2θ = 31.28°, intensity 100.0
- 2θ = 33.32°, intensity 30.9
- 2θ = 37.68°, intensity 42.5
- 2θ = 51.17°, intensity 35.0
- 2θ = 54.35°, intensity 13.3
- 2θ = 58.27°, intensity 18.1
- 2θ = 64.06°, intensity 27.9
- 2θ = 65.26°, intensity 15.3
- 2θ = 82.30°, intensity 9.0
- 2θ = 83.76°, intensity 14.0
- 2θ = 88.84°, intensity 5.7
- 2θ = 89.93°, intensity 6.1